# CsNaV2O6
Theoretical PXRD pattern, Cu Kα (weighted mean of Kα1 and Kα2). Input: a PBE+U-relaxed structure.
Peak positions follow from Bragg's law for the DFT cell and can differ from measured ones.

Cell and atoms:
```
data_CsNaV2O6
_chemical_formula_sum 'Cs4 Na4 V8 O24'
_symmetry_space_group_name_H-M 'C 1 2/c 1'
_symmetry_Int_Tables_number 15
_cell_length_a 10.9947
_cell_length_b 12.5162
_cell_length_c 6.0195
_cell_angle_alpha 90.00
_cell_angle_beta 105.17
_cell_angle_gamma 90.00
loop_
_symmetry_equiv_pos_as_xyz
'x,y,z'
'-x,-y,-z'
'-x,y,-z+1/2'
'x,-y,z+1/2'
'x+1/2,y+1/2,z'
'-x+1/2,-y+1/2,-z'
'-x+1/2,y+1/2,-z+1/2'
'x+1/2,-y+1/2,z+1/2'
loop_
_atom_site_label
_atom_site_fract_x
_atom_site_fract_y
_atom_site_fract_z
Cs1 0.0000 0.1134 0.2500
Na1 0.0000 0.2549 0.7500
V1 0.2011 0.4233 0.1747
O1 0.1110 0.3146 0.1023
O2 0.1454 0.1123 0.7571
O3 0.1710 0.4865 0.4294
```

Peak list (10 most intense, 10° ≤ 2θ ≤ 80°, sorted by position)
- (1 1 0), 10.93 deg, 8.094 Å, rel. 35
- (1 1 1), 20.52 deg, 4.328 Å, rel. 33
- (2 2 -1), 24.16 deg, 3.683 Å, rel. 100
- (3 1 0), 26.18 deg, 3.404 Å, rel. 52
- (1 3 1), 28.85 deg, 3.094 Å, rel. 34
- (2 2 1), 29.30 deg, 3.048 Å, rel. 29
- (1 1 -2), 30.55 deg, 2.926 Å, rel. 28
- (0 0 2), 30.78 deg, 2.905 Å, rel. 23
- (3 3 -1), 33.74 deg, 2.657 Å, rel. 18
- (1 5 0), 36.87 deg, 2.438 Å, rel. 21